Calculated powder diffraction line list
Compound: EuMn2P2
Radiation: Cu Kα, 1.54184 Å
Structure: a DFT-relaxed cell (GGA-PBE, the Materials Project)

Cell and atoms:
Lattice parameters (Å, degrees): 3.7654 3.7654 6.7984 90.00 90.00 120.00
Space group P-3m1 (No. 164)
One atom of each set of equivalent atoms:
Eu (0.0000, 0.0000, 0.0000) (multiplicity 1)
Mn (0.3333, 0.6667, 0.6182) (multiplicity 2)
P (0.3333, 0.6667, 0.2929) (multiplicity 2)

The 10 most intense peaks (10° ≤ 2θ ≤ 90°), sorted by position:
- (1 0 1), 2θ = 30.40°, d = 2.940 Å, I = 1000
- (0 1 2), 2θ = 38.25°, d = 2.353 Å, I = 458
- (0 0 3), 2θ = 39.78°, d = 2.266 Å, I = 136
- (1 1 0), 2θ = 48.34°, d = 1.883 Å, I = 341
- (1 0 3), 2θ = 48.95°, d = 1.861 Å, I = 139
- (0 2 1), 2θ = 58.19°, d = 1.586 Å, I = 153
- (0 1 4), 2θ = 61.53°, d = 1.507 Å, I = 129
- (2 0 2), 2θ = 63.26°, d = 1.470 Å, I = 102
- (1 1 3), 2θ = 64.33°, d = 1.448 Å, I = 189
- (2 1 1), 2θ = 78.94°, d = 1.213 Å, I = 125

Calculated powder diffraction line list
Compound: Eu10Mn6Sb13
Radiation: Cu Kα, 1.54184 Å
Structure: a DFT-relaxed cell (GGA-PBE, the Materials Project)

Cell and atoms:
Lattice parameters (Å, degrees): 15.109 18.872 12.228 90.00 108.01 90.00
Space group C2/m (No. 12)
One atom of each set of equivalent atoms:
Eu (0.000, 0.110, 0.000) (multiplicity 4)
Eu (0.000, 0.121, 0.500) (multiplicity 4)
Eu (0.000, 0.348, 0.000) (multiplicity 4)
Eu (0.000, 0.372, 0.500) (multiplicity 4)
Eu (0.180, 0.381, 0.828) (multiplicity 8)
Eu (0.235, 0.118, 0.832) (multiplicity 8)
Eu (0.248, 0.376, 0.499) (multiplicity 8)
Mn (0.044, 0.230, 0.776) (multiplicity 8)
Mn (0.048, 0.000, 0.775) (multiplicity 4)
Mn (0.155, 0.231, 0.224) (multiplicity 8)
Mn (0.163, 0.000, 0.230) (multiplicity 4)
Sb (0.067, 0.500, 0.248) (multiplicity 4)
Sb (0.068, 0.342, 0.277) (multiplicity 8)
Sb (0.070, 0.115, 0.277) (multiplicity 8)
Sb (0.102, 0.500, 0.000) (multiplicity 4)
Sb (0.153, 0.234, 0.000) (multiplicity 8)
Sb (0.154, 0.000, 0.629) (multiplicity 4)
Sb (0.158, 0.500, 0.622) (multiplicity 4)
Sb (0.161, 0.248, 0.640) (multiplicity 8)
Sb (0.167, 0.000, 0.003) (multiplicity 4)

The 10 most intense peaks (10° ≤ 2θ ≤ 90°), sorted by position:
- (4 0 -3), 2θ = 28.17°, d = 3.168 Å, I = 351
- (2 0 -4), 2θ = 29.37°, d = 3.041 Å, I = 365
- (2 4 -3), 2θ = 29.44°, d = 3.034 Å, I = 681
- (3 5 -1), 2θ = 29.64°, d = 3.014 Å, I = 197
- (0 4 3), 2θ = 29.83°, d = 2.995 Å, I = 410
- (0 0 4), 2θ = 30.76°, d = 2.907 Å, I = 184
- (4 4 0), 2θ = 31.29°, d = 2.858 Å, I = 1000
- (2 4 -4), 2θ = 35.10°, d = 2.557 Å, I = 286
- (0 8 0), 2θ = 38.15°, d = 2.359 Å, I = 378
- (4 4 -8), 2θ = 64.37°, d = 1.447 Å, I = 159

Calculated powder diffraction line list
Compound: EuMn2Sb2
Radiation: Cu Kα, 1.54184 Å
Structure: a DFT-relaxed cell (GGA-PBE, the Materials Project)

Cell and atoms:
Lattice parameters (Å, degrees): 4.4881 4.4881 7.7429 90.00 90.00 120.00
Space group P-3m1 (No. 164)
One atom of each set of equivalent atoms:
Eu (0.0000, 0.0000, 0.0000) (multiplicity 1)
Mn (0.3333, 0.6667, 0.3824) (multiplicity 2)
Sb (0.3333, 0.6667, 0.7402) (multiplicity 2)

The 10 most intense peaks (10° ≤ 2θ ≤ 90°), sorted by position:
- (1 0 1), 2θ = 25.64°, d = 3.474 Å, I = 1000
- (1 0 2), 2θ = 32.65°, d = 2.743 Å, I = 674
- (1 1 0), 2θ = 40.19°, d = 2.244 Å, I = 635
- (0 1 3), 2θ = 42.02°, d = 2.150 Å, I = 389
- (0 2 1), 2θ = 48.28°, d = 1.885 Å, I = 179
- (0 2 2), 2θ = 52.70°, d = 1.737 Å, I = 171
- (1 1 3), 2θ = 54.16°, d = 1.693 Å, I = 142
- (2 1 1), 2θ = 64.57°, d = 1.443 Å, I = 148
- (2 1 2), 2θ = 68.29°, d = 1.374 Å, I = 156
- (1 2 3), 2θ = 74.29°, d = 1.277 Å, I = 141

Calculated powder diffraction line list
Compound: EuMo6S8
Radiation: Cu Kα, 1.54184 Å
Structure: a DFT-relaxed cell (GGA-PBE, the Materials Project)

Cell and atoms:
Lattice parameters (Å, degrees): 9.2263 9.2263 11.5664 90.00 90.00 120.00
Space group R-3 (No. 148, hexagonal axes)
One atom of each set of equivalent atoms:
Eu (0.0000, 0.0000, 0.0000) (multiplicity 3)
Mo (0.0162, 0.1758, 0.4020) (multiplicity 18)
S (0.0000, 0.0000, 0.2432) (multiplicity 6)
S (0.0060, 0.3767, 0.2497) (multiplicity 18)

The 10 most intense peaks (10° ≤ 2θ ≤ 90°), sorted by position:
- (1 0 1), 2θ = 13.47°, d = 6.574 Å, I = 975
- (0 1 2), 2θ = 18.94°, d = 4.685 Å, I = 731
- (1 1 0), 2θ = 19.24°, d = 4.613 Å, I = 609
- (3 -1 1), 2θ = 30.59°, d = 2.922 Å, I = 855
- (3 -2 2), 2θ = 33.47°, d = 2.677 Å, I = 644
- (0 1 5), 2θ = 40.60°, d = 2.222 Å, I = 610
- (4 -3 1), 2θ = 41.49°, d = 2.176 Å, I = 826
- (2 1 4), 2θ = 43.32°, d = 2.089 Å, I = 672
- (3 1 2), 2θ = 43.74°, d = 2.069 Å, I = 371
- (4 -2 3), 2θ = 45.84°, d = 1.979 Å, I = 1000

Calculated powder diffraction line list
Compound: EuN
Radiation: Cu Kα, 1.54184 Å
Structure: a DFT-relaxed cell (GGA-PBE, the Materials Project)

Cell and atoms:
Lattice parameters (Å, degrees): 5.079 5.079 5.079 90.00 90.00 90.00
Space group Fm-3m (No. 225)
One atom of each set of equivalent atoms:
Eu (0.000, 0.000, 0.000) (multiplicity 4)
N (0.000, 0.000, 0.500) (multiplicity 4)

The 8 most intense peaks (10° ≤ 2θ ≤ 90°), sorted by position:
- (1 1 1), 2θ = 30.49°, d = 2.932 Å, I = 1000
- (2 0 0), 2θ = 35.35°, d = 2.539 Å, I = 732
- (2 2 0), 2θ = 50.85°, d = 1.796 Å, I = 504
- (3 1 1), 2θ = 60.45°, d = 1.531 Å, I = 451
- (2 2 2), 2θ = 63.45°, d = 1.466 Å, I = 170
- (4 0 0), 2θ = 74.77°, d = 1.270 Å, I = 79
- (3 3 1), 2θ = 82.85°, d = 1.165 Å, I = 193
- (4 2 0), 2θ = 85.50°, d = 1.136 Å, I = 227

Calculated powder diffraction line list
Compound: Eu2N
Radiation: Cu Kα, 1.54184 Å
Structure: a DFT-relaxed cell (GGA-PBE, the Materials Project)

Cell and atoms:
Lattice parameters (Å, degrees): 10.605 10.605 10.605 90.00 90.00 90.00
Space group Fd-3m (No. 227, origin choice 2)
One atom of each set of equivalent atoms:
Eu (0.011, 0.011, 0.239) (multiplicity 32)
N (0.000, 0.000, 0.000) (multiplicity 16)

The 10 most intense peaks (10° ≤ 2θ ≤ 90°), sorted by position:
- (1 1 1), 2θ = 14.47°, d = 6.123 Å, I = 97
- (2 2 2), 2θ = 29.17°, d = 3.062 Å, I = 1000
- (4 0 0), 2θ = 33.81°, d = 2.651 Å, I = 608
- (3 3 3), 2θ = 44.38°, d = 2.041 Å, I = 96
- (4 4 0), 2θ = 48.56°, d = 1.875 Å, I = 402
- (6 2 2), 2θ = 57.66°, d = 1.599 Å, I = 387
- (4 4 4), 2θ = 60.48°, d = 1.531 Å, I = 128
- (5 5 1), 2θ = 62.55°, d = 1.485 Å, I = 61
- (6 6 2), 2θ = 78.65°, d = 1.217 Å, I = 138
- (8 4 0), 2θ = 81.11°, d = 1.186 Å, I = 144